Record 1
Structure and simulated powder XRD pattern of AcIn2Pd6 (a cell relaxed with PBE; Cu Kα (weighted mean of Kα1 and Kα2)).

Principal peaks in the range 2θ = 10–90°, most intense first:
2θ/deg  Rel. int.
43.24  100
24.95  50
30.20  45
79.31  31
39.56  28
62.81  16
71.26  14
26.08  12
60.04  12
53.65  11

Cell and atoms:
```
AcIn2Pd6
1.0
0.000 5.918 5.918
5.918 0.000 5.918
5.918 5.918 0.000
Ac In Pd
2 4 12
Direct
0.125 0.125 0.125
0.875 0.875 0.875
0.000 0.500 0.500
0.500 0.000 0.500
0.500 0.500 0.000
0.500 0.500 0.500
0.115 0.115 0.635
0.115 0.635 0.115
0.115 0.635 0.635
0.365 0.365 0.885
0.365 0.885 0.365
0.365 0.885 0.885
0.635 0.115 0.115
0.635 0.115 0.635
0.635 0.635 0.115
0.885 0.365 0.365
0.885 0.365 0.885
0.885 0.885 0.365
```

Record 2
Structure and simulated powder XRD pattern of Ac4In3Pd5 (a cell relaxed with PBE; Cu Kα (weighted mean of Kα1 and Kα2)).

Principal peaks in the range 2θ = 10–90°, most intense first:
2θ/deg  Rel. int.
30.52  100
36.29  96
29.36  79
26.54  66
34.68  60
32.64  48
37.09  37
39.21  35
28.04  33
26.91  31

Cell and atoms:
```
Ac4In3Pd5
1.0
6.978 -2.475 0.000
6.978 2.475 0.000
-6.451 0.000 9.548
Ac In Pd
4 3 5
Direct
0.035 0.035 0.323
0.262 0.262 0.738
0.738 0.738 0.262
0.965 0.965 0.677
0.000 0.000 0.000
0.328 0.328 0.079
0.672 0.672 0.921
0.302 0.302 0.490
0.420 0.420 0.360
0.500 0.500 0.000
0.580 0.580 0.640
0.698 0.698 0.510
```

Record 3
Structure and simulated powder XRD pattern of Ac3InPd (a cell relaxed with PBE; Cu Kα (weighted mean of Kα1 and Kα2)).

Principal peaks in the range 2θ = 10–90°, most intense first:
2θ/deg  Rel. int.
30.54  100
30.30  74
27.41  73
27.29  65
28.98  63
30.98  36
26.11  33
24.61  30
44.06  28
48.79  27

Cell and atoms:
```
Ac3InPd
1.0
5.854 0.000 0.000
0.000 7.851 0.000
-0.009 -0.593 7.876
Ac In Pd
6 2 2
Direct
0.000 0.000 0.000
0.000 0.369 0.685
0.001 0.492 0.181
0.001 0.840 0.547
0.500 0.136 0.369
0.500 0.672 0.907
0.500 0.243 0.924
0.501 0.624 0.441
0.000 0.160 0.351
0.502 0.958 0.694
```

Record 4
Structure and simulated powder XRD pattern of Ac2In3Pd2 (a cell relaxed with PBE; Cu Kα (weighted mean of Kα1 and Kα2)).

Principal peaks in the range 2θ = 10–90°, most intense first:
2θ/deg  Rel. int.
31.54  100
32.79  28
34.64  27
41.50  23
25.23  16
37.77  15
61.84  14
29.62  14
69.50  13
35.13  11

Cell and atoms:
```
Ac2In3Pd2
1.0
5.624 -2.176 0.000
5.624 2.176 0.000
-0.813 0.000 7.663
Ac In Pd
2 3 2
Direct
0.124 0.124 0.344
0.876 0.876 0.656
0.184 0.184 0.865
0.500 0.500 0.000
0.816 0.816 0.135
0.412 0.412 0.351
0.588 0.588 0.649
```